1.
Li4AsPt: calculated powder XRD pattern (a wavelength of 1.5418 Å), based on a crystal structure in Alexandria, relaxed with GGA-PBE.
Neutral-atom scattering factors, no anomalous dispersion.

Largest 10 diffraction maxima, by intensity, 2θ = 5–70°:
23.74 deg, intensity 100.0
42.60 deg, intensity 50.4
41.75 deg, intensity 28.4
55.47 deg, intensity 18.2
61.17 deg, intensity 17.1
18.22 deg, intensity 13.2
34.85 deg, intensity 11.6
48.56 deg, intensity 9.9
32.42 deg, intensity 8.2
27.56 deg, intensity 7.7

```
Li4AsPt
1.0
2.575 -7.485 0.000
2.575 7.485 0.000
0.000 0.000 4.333
Li As Pt
8 2 2
Cartesian
1.280 3.117 1.083
1.277 0.643 1.083
1.277 -0.643 3.250
1.280 -3.117 3.250
3.870 3.117 1.083
3.872 0.643 1.083
3.872 -0.643 3.250
3.870 -3.117 3.250
2.575 1.928 3.250
2.575 -1.928 1.083
2.575 5.679 1.083
2.575 -5.679 3.250
```

***

2.
LiPu4As4: calculated powder XRD pattern (a wavelength of 1.5418 Å), based on a crystal structure in Alexandria, relaxed with GGA-PBE.
Neutral-atom scattering factors, no anomalous dispersion.

Largest 10 diffraction maxima, by intensity, 2θ = 5–70°:
26.04 deg, intensity 100.0
34.89 deg, intensity 55.7
44.05 deg, intensity 48.3
24.48 deg, intensity 37.1
40.50 deg, intensity 25.9
56.65 deg, intensity 23.3
50.18 deg, intensity 19.3
31.75 deg, intensity 17.1
43.20 deg, intensity 16.2
15.55 deg, intensity 15.7

```
LiPu4As4
1.0
-3.636 3.636 4.585
3.636 -3.636 4.585
3.636 3.636 -4.585
Li Pu As
1 4 4
Cartesian
0.000 0.000 0.000
3.636 0.000 0.000
0.000 0.000 2.977
0.000 3.636 0.000
0.000 0.000 6.194
1.996 -1.996 3.273
1.640 1.640 1.312
-1.996 1.996 3.273
1.996 1.996 5.897
```

***

3.
Li5Pu4As6: calculated powder XRD pattern (a wavelength of 1.5418 Å), based on a crystal structure in Alexandria, relaxed with GGA-PBE.
Neutral-atom scattering factors, no anomalous dispersion.

Largest 10 diffraction maxima, by intensity, 2θ = 5–70°:
36.38 deg, intensity 100.0
31.97 deg, intensity 86.1
21.26 deg, intensity 81.5
31.55 deg, intensity 60.1
11.74 deg, intensity 57.2
42.18 deg, intensity 50.8
32.12 deg, intensity 41.0
19.68 deg, intensity 36.2
51.64 deg, intensity 36.2
30.33 deg, intensity 35.2

```
Li5Pu4As6
1.0
2.142 -9.454 0.000
2.142 9.454 0.000
0.000 0.000 15.079
Li Pu As
10 8 12
Cartesian
2.142 8.304 7.540
2.142 6.546 12.377
2.142 6.419 1.417
2.142 5.747 6.879
2.142 3.024 6.903
2.142 -3.024 14.443
2.142 -5.747 14.419
2.142 -6.419 8.957
2.142 -6.546 4.838
2.142 -8.304 0.000
2.142 3.275 11.743
2.142 3.164 2.057
2.142 0.568 8.949
2.142 0.328 5.060
2.142 -0.328 12.600
2.142 -0.568 1.410
2.142 -3.164 9.597
2.142 -3.275 4.204
2.142 8.265 10.300
2.142 8.144 3.529
2.142 8.133 14.483
2.142 4.368 9.085
2.142 4.299 4.713
2.142 2.097 14.437
2.142 -2.097 6.898
2.142 -4.299 12.253
2.142 -4.368 1.546
2.142 -8.133 6.943
2.142 -8.144 11.069
2.142 -8.265 2.760
```

***

4.
RbLiSnAs2: calculated powder XRD pattern (a wavelength of 1.5418 Å), based on a crystal structure in Alexandria, relaxed with GGA-PBE.
Neutral-atom scattering factors, no anomalous dispersion.

Largest 10 diffraction maxima, by intensity, 2θ = 5–70°:
22.82 deg, intensity 100.0
25.93 deg, intensity 83.4
35.34 deg, intensity 77.4
33.61 deg, intensity 68.8
23.65 deg, intensity 58.8
8.82 deg, intensity 56.3
41.58 deg, intensity 52.4
27.68 deg, intensity 49.2
51.60 deg, intensity 41.2
14.36 deg, intensity 39.4

```
RbLiSnAs2
1.0
6.972 -2.172 0.000
6.972 2.172 0.000
-1.691 0.000 10.023
Rb Li Sn As
2 2 2 4
Cartesian
1.749 0.000 1.671
10.505 0.000 8.352
1.592 0.000 5.650
10.662 0.000 4.373
5.594 0.000 3.326
6.660 0.000 6.697
0.403 0.000 8.145
4.226 0.000 5.650
8.027 0.000 4.374
11.851 0.000 1.878
```